Entry 1:
# Li4Cr2Fe3O10
Simulated powder diffraction line list, copper Kα. Input: DFT lattice parameters and positions (PBE+U).

Atomic structure:
Lattice parameters (Å, degrees): 5.115 5.135 7.830 72.34 72.04 80.10
Space group P1 (No. 1)
One atom of each set of equivalent atoms:
Li 0.000 0.000 0.000
Li 0.002 0.560 0.831
Li 0.487 0.273 0.915
Li 0.988 0.171 0.630
Cr 0.501 0.885 0.712
Cr 0.509 0.672 0.093
Fe 0.001 0.781 0.399
Fe 0.496 0.096 0.298
Fe 0.502 0.472 0.517
O 0.262 0.836 0.546
O 0.269 0.990 0.169
O 0.272 0.237 0.743
O 0.277 0.450 0.348
O 0.288 0.660 0.948
O 0.720 0.344 0.070
O 0.732 0.113 0.469
O 0.733 0.747 0.262
O 0.734 0.909 0.868
O 0.756 0.555 0.636

Principal peaks in the range 5 to 70 degrees two-theta, sorted by position:
two_theta  Rel. int.
12.3  80
18.3  100
42.1  69
43.4  64
43.6  64
62.2  52

Entry 2:
# Li3CrFe3O8
Simulated powder diffraction line list, copper Kα. Input: DFT lattice parameters and positions (PBE+U).

Atomic structure:
Lattice parameters (Å, degrees): 5.8928 5.8928 9.5860 90.00 90.00 120.00
Space group P6_3mc (No. 186)
One atom of each set of equivalent atoms:
Li 0.1713 0.3426 0.0000
Cr 0.3333 0.6667 0.4559
Fe 0.1690 0.3380 0.7312
O 0.0000 0.0000 0.1217
O 0.0398 0.5199 0.5951
O 0.1675 0.3351 0.3518
O 0.3333 0.6667 0.8478

Principal peaks in the range 5 to 70 degrees two-theta, sorted by position:
two_theta  Rel. int.
18.5  48
19.7  100
36.4  57
45.5  79
60.4  43
63.1  43

Entry 3:
# Li3Cr10Fe5O24
Simulated powder diffraction line list, copper Kα. Input: DFT lattice parameters and positions (PBE+U).

Atomic structure:
Lattice parameters (Å, degrees): 10.376 5.991 14.665 90.00 90.09 90.00
Space group Cm (No. 8)
One atom of each set of equivalent atoms:
Li 0.000 0.000 0.000
Li 0.166 0.500 0.666
Li 0.332 0.000 0.332
Cr 0.000 0.000 0.627
Cr 0.085 0.256 0.456
Cr 0.162 0.000 0.790
Cr 0.252 0.244 0.124
Cr 0.329 0.500 0.456
Cr 0.334 0.000 0.961
Cr 0.419 0.256 0.790
Fe 0.165 0.500 0.295
Fe 0.167 0.500 0.916
Fe 0.333 0.000 0.582
Fe 0.494 0.000 0.123
Fe 0.499 0.500 0.249
O 0.000 0.000 0.861
O 0.014 0.500 0.378
O 0.074 0.224 0.712
O 0.089 0.262 0.205
O 0.157 0.000 0.538
O 0.166 0.500 0.527
O 0.168 0.500 0.048
O 0.185 0.000 0.046
O 0.242 0.273 0.378
O 0.255 0.235 0.872
O 0.323 0.500 0.204
O 0.332 0.000 0.197
O 0.333 0.000 0.714
O 0.350 0.500 0.712
O 0.408 0.227 0.045
O 0.421 0.265 0.538
O 0.491 0.000 0.872
O 0.499 0.500 0.381

Principal peaks in the range 5 to 70 degrees two-theta, sorted by position:
two_theta  Rel. int.
18.1  54
21.0  19
35.1  100
42.7  45
56.4  38
62.0  52